(1)
This entry pairs a crystal structure of NaH3C2O4 with its computed powder XRD pattern. Radiation: λ = 1.5418 Å (Cu Kα). Structure: a cell relaxed with GGA-PBE.

Main lines, most intense first (15 to 90 degrees two-theta):
2θ = 28.30°, d = 3.154 Å, rel. 100.0, hkl 0 2 2; 2θ = 27.05°, d = 3.297 Å, rel. 89.8, hkl 2 -1 0; 2θ = 30.40°, d = 2.941 Å, rel. 77.3, hkl 2 3 1; 2θ = 29.64°, d = 3.014 Å, rel. 52.2, hkl 0 0 3; 2θ = 23.03°, d = 3.861 Å, rel. 51.1, hkl 2 1 2; 2θ = 26.37°, d = 3.380 Å, rel. 40.5, hkl 2 1 -1; 2θ = 20.06°, d = 4.425 Å, rel. 30.7, hkl 1 2 1; 2θ = 33.30°, d = 2.690 Å, rel. 30.5, hkl 3 0 0; 2θ = 30.03°, d = 2.976 Å, rel. 29.9, hkl 1 -2 2; 2θ = 38.93°, d = 2.313 Å, rel. 27.5, hkl 2 4 1

Cell and atoms:
abc: 9.161 9.432 9.725
angles: 83.24 68.42 70.18
Space group P-1 (No. 2)
Inequivalent atoms, fractional coordinates:
Na: 0.172 0.341 0.197 (multiplicity 2)
Na: 0.192 0.542 0.476 (multiplicity 2)
Na: 0.197 0.934 0.350 (multiplicity 2)
H: 0.000 0.500 0.000 (multiplicity 1)
H: 0.044 0.800 0.950 (multiplicity 2)
H: 0.107 0.015 0.712 (multiplicity 2)
H: 0.207 0.222 0.616 (multiplicity 2)
H: 0.341 0.014 0.902 (multiplicity 2)
H: 0.343 0.374 0.766 (multiplicity 2)
H: 0.349 0.597 0.004 (multiplicity 2)
H: 0.434 0.828 0.569 (multiplicity 2)
H: 0.437 0.799 0.004 (multiplicity 2)
H: 0.500 0.500 0.500 (multiplicity 1)
C: 0.022 0.873 0.857 (multiplicity 2)
C: 0.131 0.217 0.551 (multiplicity 2)
C: 0.209 0.435 0.814 (multiplicity 2)
C: 0.302 0.640 0.120 (multiplicity 2)
C: 0.413 0.728 0.539 (multiplicity 2)
C: 0.473 0.951 0.842 (multiplicity 2)
O: 0.076 0.104 0.578 (multiplicity 2)
O: 0.086 0.125 0.191 (multiplicity 2)
O: 0.106 0.320 0.460 (multiplicity 2)
O: 0.122 0.955 0.808 (multiplicity 2)
O: 0.128 0.507 0.735 (multiplicity 2)
O: 0.146 0.423 0.957 (multiplicity 2)
O: 0.230 0.566 0.222 (multiplicity 2)
O: 0.295 0.742 0.499 (multiplicity 2)
O: 0.329 0.762 0.134 (multiplicity 2)
O: 0.443 0.001 0.272 (multiplicity 2)
O: 0.468 0.177 0.096 (multiplicity 2)
O: 0.477 0.399 0.451 (multiplicity 2)


(2)
This entry pairs a crystal structure of Na3H7C2O6 with its computed powder XRD pattern. Radiation: λ = 1.5418 Å (Cu Kα). Structure: a cell relaxed with GGA-PBE.

Main lines, most intense first (15 to 90 degrees two-theta):
2θ = 32.56°, d = 2.750 Å, rel. 100.0, hkl 5 1 -1; 2θ = 28.53°, d = 3.129 Å, rel. 63.5, hkl 3 1 -1; 2θ = 16.53°, d = 5.364 Å, rel. 62.6, hkl 4 0 0; 2θ = 27.58°, d = 3.234 Å, rel. 41.0, hkl 4 0 2; 2θ = 52.48°, d = 1.744 Å, rel. 33.7, hkl 7 1 3; 2θ = 32.03°, d = 2.794 Å, rel. 31.0, hkl 1 1 2; 2θ = 27.35°, d = 3.261 Å, rel. 22.7, hkl 1 1 1; 2θ = 41.71°, d = 2.165 Å, rel. 21.7, hkl 10 0 -2; 2θ = 37.00°, d = 2.429 Å, rel. 20.6, hkl 1 1 -3; 2θ = 39.98°, d = 2.255 Å, rel. 17.0, hkl 2 0 4

Cell and atoms:
abc: 22.110 3.559 10.015
angles: 90.00 103.97 90.00
Space group C2/c (No. 15)
Inequivalent atoms, fractional coordinates:
Na: 0.000 0.241 0.250 (multiplicity 4)
Na: 0.144 0.360 0.923 (multiplicity 8)
H: 0.000 0.500 0.000 (multiplicity 4)
H: 0.179 0.084 0.265 (multiplicity 8)
H: 0.219 0.156 0.332 (multiplicity 8)
H: 0.242 0.276 0.614 (multiplicity 8)
C: 0.088 0.242 0.596 (multiplicity 8)
O: 0.049 0.381 0.484 (multiplicity 8)
O: 0.072 0.254 0.711 (multiplicity 8)
O: 0.140 0.109 0.580 (multiplicity 8)


(3)
This entry pairs a crystal structure of Na2H2CO4 with its computed powder XRD pattern. Radiation: λ = 1.5418 Å (Cu Kα). Structure: a cell relaxed with GGA-PBE.

Main lines, most intense first (15 to 90 degrees two-theta):
2θ = 32.20°, d = 2.780 Å, rel. 100.0, hkl 2 0 2; 2θ = 37.71°, d = 2.385 Å, rel. 85.7, hkl 1 2 1; 2θ = 33.46°, d = 2.678 Å, rel. 57.8, hkl 1 1 2; 2θ = 32.38°, d = 2.765 Å, rel. 56.7, hkl 0 1 2; 2θ = 33.20°, d = 2.699 Å, rel. 45.6, hkl 4 0 0; 2θ = 36.10°, d = 2.488 Å, rel. 35.3, hkl 4 0 1; 2θ = 44.83°, d = 2.022 Å, rel. 34.3, hkl 3 2 1; 2θ = 56.94°, d = 1.617 Å, rel. 27.2, hkl 5 2 1; 2θ = 56.75°, d = 1.622 Å, rel. 24.8, hkl 0 0 4; 2θ = 40.06°, d = 2.251 Å, rel. 24.6, hkl 4 1 1

Cell and atoms:
abc: 10.777 5.282 6.489
angles: 90.00 90.00 90.00
Space group Pca2_1 (No. 29)
Inequivalent atoms, fractional coordinates:
Na: 0.001 0.122 0.000 (multiplicity 4)
Na: 0.193 0.640 0.935 (multiplicity 4)
H: 0.066 0.337 0.584 (multiplicity 4)
H: 0.091 0.400 0.353 (multiplicity 4)
C: 0.245 0.102 0.221 (multiplicity 4)
O: 0.029 0.432 0.468 (multiplicity 4)
O: 0.138 0.047 0.734 (multiplicity 4)
O: 0.163 0.925 0.233 (multiplicity 4)
O: 0.211 0.338 0.196 (multiplicity 4)